Starting from a DFT-relaxed cell (GGA+U, the Materials Project), the powder X-ray diffraction pattern of MnH2SO5 was computed for Cu Kα (weighted mean of Kα1 and Kα2).

Main lines, sorted by position (5° ≤ 2θ ≤ 70°):
h k l, Position (°2θ), intensity
1 1 0, 17.90, 46
1 1 -1, 18.04, 42
1 1 1, 24.98, 100
0 2 1, 25.26, 66
2 0 -2, 28.84, 44
0 2 2, 33.31, 61
2 2 -1, 34.13, 20
1 3 -1, 36.31, 20
3 1 -1, 41.15, 19
2 2 -4, 51.88, 31

Structure:
a b c (Å): 6.9076 8.0924 7.9409
angles (deg): 90.00 114.90 90.00
Space group C2/c (No. 15)
Inequivalent atoms, fractional coordinates:
Mn (0.2500, 0.2500, 0.0000)
H (0.0930, 0.0393, 0.7121)
S (0.0000, 0.4139, 0.2500)
O (0.0000, 0.1107, 0.7500)
O (0.0204, 0.3096, 0.1055)
O (0.1941, 0.4776, 0.8352)

---

Starting from a DFT-relaxed cell (GGA+U, the Materials Project), the powder X-ray diffraction pattern of La9Ni5O19 was computed for Cu Kα (weighted mean of Kα1 and Kα2).

Main lines, sorted by position (5° ≤ 2θ ≤ 70°):
h k l, Position (°2θ), intensity
1 5 1, 23.86, 27
0 0 4, 28.61, 19
1 5 3, 31.41, 100
0 10 0, 31.92, 36
2 0 0, 32.88, 39
1 5 5, 43.00, 25
2 0 4, 44.14, 14
2 10 0, 46.48, 37
1 15 3, 56.56, 17
3 5 3, 57.79, 18

Structure:
a b c (Å): 5.4475 28.0401 12.4795
angles (deg): 90.00 90.00 90.00
Space group Fmm2 (No. 42)
Inequivalent atoms, fractional coordinates:
La (0.0000, 0.0000, 0.0000)
La (0.0000, 0.0890, 0.5479)
La (0.0000, 0.1042, 0.2691)
La (0.0000, 0.1999, 0.7645)
La (0.0000, 0.2016, 0.0428)
Ni (0.0000, 0.0000, 0.3964)
Ni (0.0000, 0.1003, 0.8939)
Ni (0.0000, 0.1999, 0.4104)
O (0.0000, 0.0000, 0.5591)
O (0.0000, 0.0834, 0.0895)
O (0.0000, 0.1169, 0.7266)
O (0.0000, 0.1928, 0.2291)
O (0.0000, 0.2126, 0.5823)
O (0.2389, 0.0530, 0.3904)
O (0.2490, 0.1498, 0.4225)
O (0.2500, 0.2500, 0.3953)

---

Starting from a DFT-relaxed cell (GGA+U, the Materials Project), the powder X-ray diffraction pattern of Na2FeAsCO7 was computed for Cu Kα (weighted mean of Kα1 and Kα2).

Main lines, sorted by position (5° ≤ 2θ ≤ 70°):
h k l, Position (°2θ), intensity
0 0 1, 9.67, 100
1 1 1, 23.45, 31
1 0 -2, 25.16, 35
1 0 2, 25.97, 13
0 2 0, 26.22, 28
0 2 1, 28.01, 14
1 2 -1, 32.51, 16
0 2 2, 32.83, 27
2 0 0, 33.32, 34
2 2 2, 47.95, 13

Structure:
a b c (Å): 5.3805 6.7979 9.1504
angles (deg): 90.00 91.81 90.00
Space group P2_1/m (No. 11)
Inequivalent atoms, fractional coordinates:
Na (0.2336, 0.0025, 0.2843)
Fe (0.2122, 0.7500, 0.8511)
As (0.2842, 0.2500, 0.9261)
C (0.2732, 0.7500, 0.5783)
O (0.0521, 0.7500, 0.6351)
O (0.1495, 0.2500, 0.0946)
O (0.1975, 0.0475, 0.8265)
O (0.3092, 0.7500, 0.4431)
O (0.3946, 0.7500, 0.0446)
O (0.4572, 0.7500, 0.6782)

---

Starting from a DFT-relaxed cell (GGA+U, the Materials Project), the powder X-ray diffraction pattern of MgV3O7 was computed for Cu Kα (weighted mean of Kα1 and Kα2).

Main lines, sorted by position (5° ≤ 2θ ≤ 70°):
h k l, Position (°2θ), intensity
2 0 0, 17.34, 99
2 1 1, 25.65, 45
2 2 1, 29.84, 100
0 3 1, 31.12, 45
0 0 2, 33.61, 17
4 2 1, 43.02, 17
0 4 2, 49.36, 17
1 4 2, 50.22, 26
2 4 2, 52.71, 22
6 2 1, 59.74, 22

Structure:
a b c (Å): 10.2309 10.2343 5.3329
angles (deg): 90.00 90.00 90.00
Space group Pnma (No. 62)
Inequivalent atoms, fractional coordinates:
Mg (0.0781, 0.2500, 0.1547)
V (0.1828, 0.5273, 0.7028)
V (0.2177, 0.7500, 0.1919)
O (0.0357, 0.5957, 0.7214)
O (0.0556, 0.7500, 0.1663)
O (0.2121, 0.1209, 0.9428)
O (0.2127, 0.1184, 0.4588)